Simulated X-ray powder pattern of K2TmCrO6 for Cu Kα, 1.54184 Å, from a GGA+U-relaxed structure.

Structural model:
Lattice parameters (Å, degrees): 6.1891 6.1891 5.5933 90.00 90.00 120.00
Space group P-3m1 (No. 164)
One atom of each set of equivalent atoms:
K 0.3333 0.6667 0.1077 [2 per cell]
Tm 0.0000 0.0000 0.5000 [1 per cell]
Cr 0.0000 0.0000 0.0000 [1 per cell]
O 0.1370 0.2741 0.7991 [6 per cell]

Most intense lines, 15 to 90 degrees two-theta, in order of rising 2θ:
hkl, Position (°2θ), I_rel
1 0 0, 16.54, 100
1 0 1, 22.98, 34
1 1 0, 28.85, 42
0 1 2, 36.23, 21
0 2 1, 37.20, 20
1 1 2, 43.62, 22
2 0 2, 46.96, 19
1 2 2, 56.05, 17